# Rb2ZrGaF6
Calculated X-ray powder pattern, Cu Kα. Input: a structure optimized by DFT (GGA-PBE).
Kinematic intensities with the Lorentz-polarization factor, no thermal factor.

Structure:
```
Rb2ZrGaF6
1.0
-3.289 3.289 4.677
3.289 -3.289 4.677
3.289 3.289 -4.677
Rb Zr Ga F
2 1 1 6
direct
0.250 0.750 0.500
0.750 0.250 0.500
0.000 0.000 0.000
0.500 0.500 0.000
0.227 0.227 0.455
0.227 0.773 0.000
0.231 0.231 0.000
0.769 0.769 0.000
0.773 0.227 0.000
0.773 0.773 0.545
```

Largest 8 diffraction maxima, low angle first, 2θ = 10–90°:
d/Å  I (rel.)
3.295  100
2.339  14
2.325  28
1.906  14
1.900  27
1.649  18
1.644  9
1.471  13